Entry 1:
Starting from the GGA-PBE geometry in the Materials Project, the X-ray powder pattern of SiBHC3NCl2 was simulated for λ = 1.5418 Å (Cu Kα).
Intensities are scaled so that the largest is 100.

Structural model:
a b c (Å): 8.9281 10.2366 8.4594
angles (deg): 90.00 97.67 90.00
Space group P2_1/c (No. 14)
Symmetry-distinct sites (fractional):
Si: 0.2457 0.0528 0.3479 x4
B: 0.0575 0.5703 0.0859 x4
H: 0.0499 0.6057 0.8280 x4
C: 0.3037 0.5364 0.6679 x4
C: 0.4108 0.5539 0.7843 x4
C: 0.4426 0.5027 0.9412 x4
N: 0.0794 0.5310 0.9079 x4
Cl: 0.0242 0.2394 0.4145 x4
Cl: 0.2153 0.5454 0.2379 x4

Principal peaks in the range 10 to 80 degrees two-theta, low angle first:
- 13.65°, intensity 100
- 17.33°, intensity 58
- 22.93°, intensity 21
- 23.88°, intensity 20
- 26.63°, intensity 35
- 27.50°, intensity 19

Entry 2:
Starting from the GGA-PBE geometry in the Materials Project, the X-ray powder pattern of Nd4Fe4Co12B3C was simulated for λ = 1.5418 Å (Cu Kα).
Intensities are scaled so that the largest is 100.

Structural model:
a b c (Å): 5.1175 5.1175 13.4694
angles (deg): 90.00 90.00 120.00
Space group P-6m2 (No. 187)
Symmetry-distinct sites (fractional):
Nd: 0.0000 0.0000 0.0000 x1
Nd: 0.0000 0.0000 0.2493 x2
Nd: 0.0000 0.0000 0.5000 x1
Fe: 0.3333 0.6667 0.2501 x2
Fe: 0.6667 0.3333 0.2481 x2
Co: 0.9997 0.4999 0.3944 x6
Co: 0.0051 0.5025 0.1010 x6
B: 0.3333 0.6667 0.5000 x1
B: 0.6667 0.3333 0.0000 x1
B: 0.6667 0.3333 0.5000 x1
C: 0.3333 0.6667 0.0000 x1

Principal peaks in the range 10 to 80 degrees two-theta, low angle first:
- 33.42°, intensity 86
- 35.07°, intensity 32
- 40.72°, intensity 82
- 44.47°, intensity 100
- 61.86°, intensity 29
- 69.48°, intensity 25

Entry 3:
Starting from the GGA-PBE geometry in the Materials Project, the X-ray powder pattern of Y4Fe4Co12B3C was simulated for λ = 1.5418 Å (Cu Kα).
Intensities are scaled so that the largest is 100.

Structural model:
a b c (Å): 4.9811 4.9811 13.5663
angles (deg): 90.00 90.00 120.00
Space group P-6m2 (No. 187)
Symmetry-distinct sites (fractional):
Y: 0.0000 0.0000 0.0000 x1
Y: 0.0000 0.0000 0.2494 x2
Y: 0.0000 0.0000 0.5000 x1
Fe: 0.3333 0.6667 0.2504 x2
Fe: 0.6667 0.3333 0.2496 x2
Co: 0.0001 0.5000 0.3930 x6
Co: 0.0041 0.5021 0.1039 x6
B: 0.3333 0.6667 0.5000 x1
B: 0.6667 0.3333 0.0000 x1
B: 0.6667 0.3333 0.5000 x1
C: 0.3333 0.6667 0.0000 x1

Principal peaks in the range 10 to 80 degrees two-theta, low angle first:
- 33.61°, intensity 65
- 36.06°, intensity 20
- 41.88°, intensity 83
- 45.17°, intensity 100
- 71.24°, intensity 28
- 76.50°, intensity 25

Entry 4:
Starting from the GGA-PBE geometry in the Materials Project, the X-ray powder pattern of GdCo2B2C was simulated for λ = 1.5418 Å (Cu Kα).
Intensities are scaled so that the largest is 100.

Structural model:
a b c (Å): 3.5659 3.5659 10.2498
angles (deg): 90.00 90.00 90.00
Space group I4/mmm (No. 139)
Symmetry-distinct sites (fractional):
Gd: 0.0000 0.0000 0.0000 x2
Co: 0.0000 0.5000 0.2500 x4
B: 0.0000 0.0000 0.3531 x4
C: 0.0000 0.0000 0.5000 x2

Principal peaks in the range 10 to 80 degrees two-theta, low angle first:
- 26.46°, intensity 63
- 35.02°, intensity 34
- 36.42°, intensity 40
- 39.84°, intensity 100
- 51.24°, intensity 27
- 66.06°, intensity 23

Entry 5:
Starting from the GGA-PBE geometry in the Materials Project, the X-ray powder pattern of PrCo2B2C was simulated for λ = 1.5418 Å (Cu Kα).
Intensities are scaled so that the largest is 100.

Structural model:
a b c (Å): 3.6868 3.6868 10.0808
angles (deg): 90.00 90.00 90.00
Space group I4/mmm (No. 139)
Symmetry-distinct sites (fractional):
Pr: 0.0000 0.0000 0.0000 x2
Co: 0.0000 0.5000 0.2500 x4
B: 0.0000 0.0000 0.3498 x4
C: 0.0000 0.0000 0.5000 x2

Principal peaks in the range 10 to 80 degrees two-theta, low angle first:
- 25.73°, intensity 57
- 35.62°, intensity 30
- 36.17°, intensity 36
- 38.89°, intensity 100
- 49.44°, intensity 28
- 62.41°, intensity 22